MnCl2O2: theoretical X-ray diffraction stick pattern (Cu Kα (λ = 1.5418 Å)), based on a DFT-relaxed cell (GGA+U, the Materials Project).
Neutral-atom scattering factors, no anomalous dispersion.

Cell and atoms:
a = 7.119 Å, b = 7.320 Å, c = 3.643 Å
α = 90.00°, β = 100.67°, γ = 90.00°
Sites, in units of the cell vectors:
Mn: 0.000 0.000 0.000
Mn: 0.500 0.500 0.000
Cl: 0.245 0.000 0.558
Cl: 0.255 0.500 0.442
Cl: 0.745 0.500 0.558
Cl: 0.755 0.000 0.442
O: 0.000 0.239 0.000
O: 0.000 0.761 0.000
O: 0.500 0.261 0.000
O: 0.500 0.739 0.000

Most intense lines, 15° ≤ 2θ ≤ 90°, most intense first:
h k l, 2θ (°), I/Imax
1 1 0, 17.5, 100
2 0 -1, 32.3, 68
0 2 0, 24.3, 54
2 0 1, 39.2, 39
1 1 1, 32.5, 37
2 2 -1, 40.8, 22

LiV4O5F7: theoretical X-ray diffraction stick pattern (Cu Kα (λ = 1.5418 Å)), based on a DFT-relaxed cell (GGA+U, the Materials Project).
Neutral-atom scattering factors, no anomalous dispersion.

Cell and atoms:
a = 5.161 Å, b = 5.412 Å, c = 7.518 Å
α = 92.99°, β = 90.03°, γ = 93.16°
Sites, in units of the cell vectors:
Li: 0.000 0.000 0.000
V: 0.470 0.896 0.303
V: 0.493 0.932 0.797
V: 0.955 0.408 0.312
V: 0.982 0.446 0.830
O: 0.200 0.745 0.856
O: 0.276 0.635 0.271
O: 0.696 0.209 0.345
O: 0.770 0.134 0.779
O: 0.906 0.430 0.055
F: 0.075 0.424 0.563
F: 0.184 0.119 0.235
F: 0.279 0.229 0.867
F: 0.374 0.950 0.551
F: 0.619 0.910 0.059
F: 0.688 0.630 0.751
F: 0.781 0.719 0.365

Most intense lines, 15° ≤ 2θ ≤ 90°, most intense first:
h k l, 2θ (°), I/Imax
1 1 0, 24.5, 100
1 -1 0, 23.2, 96
0 0 2, 23.7, 94
2 -2 0, 47.4, 23
0 0 4, 48.5, 19
1 -1 2, 32.8, 17

Copy entry 2 word for word.
LiV4O5F7: theoretical X-ray diffraction stick pattern (Cu Kα (λ = 1.5418 Å)), based on a DFT-relaxed cell (GGA+U, the Materials Project).
Neutral-atom scattering factors, no anomalous dispersion.

Cell and atoms:
a = 5.161 Å, b = 5.412 Å, c = 7.518 Å
α = 92.99°, β = 90.03°, γ = 93.16°
Sites, in units of the cell vectors:
Li: 0.000 0.000 0.000
V: 0.470 0.896 0.303
V: 0.493 0.932 0.797
V: 0.955 0.408 0.312
V: 0.982 0.446 0.830
O: 0.200 0.745 0.856
O: 0.276 0.635 0.271
O: 0.696 0.209 0.345
O: 0.770 0.134 0.779
O: 0.906 0.430 0.055
F: 0.075 0.424 0.563
F: 0.184 0.119 0.235
F: 0.279 0.229 0.867
F: 0.374 0.950 0.551
F: 0.619 0.910 0.059
F: 0.688 0.630 0.751
F: 0.781 0.719 0.365

Most intense lines, 15° ≤ 2θ ≤ 90°, most intense first:
h k l, 2θ (°), I/Imax
1 1 0, 24.5, 100
1 -1 0, 23.2, 96
0 0 2, 23.7, 94
2 -2 0, 47.4, 23
0 0 4, 48.5, 19
1 -1 2, 32.8, 17